Entry 1:
Computed X-ray diffraction stick pattern of MgTi2O4 for Cu Kα, 1.54184 Å, from a DFT-relaxed cell (GGA-PBE, the Materials Project).
Intensities are scaled so that the largest is 100.

Cell and atoms:
```
28
Lattice="5.805 0.000 0.000 0.000 10.527 0.000 0.000 0.000 5.020" Properties=species:S:1:pos:R:3 pbc="T T T"
Mg 1.451 2.632 0.136
Mg 1.451 7.895 1.682
Mg 4.353 2.632 3.338
Mg 4.353 7.895 4.884
Ti 0.000 0.000 2.510
Ti 0.000 5.263 2.510
Ti 1.451 5.402 4.850
Ti 1.451 10.388 4.850
Ti 2.902 0.000 2.510
Ti 2.902 5.263 2.510
Ti 4.353 0.139 0.170
Ti 4.353 5.124 0.170
O 0.008 1.233 4.215
O 0.008 4.030 4.215
O 1.451 1.038 1.565
O 1.451 4.225 1.565
O 1.451 6.509 3.196
O 1.451 9.281 3.196
O 2.895 1.233 4.215
O 2.895 4.030 4.215
O 2.910 6.497 0.804
O 2.910 9.293 0.804
O 4.353 1.246 1.824
O 4.353 4.018 1.824
O 4.353 6.301 3.454
O 4.353 9.489 3.454
O 5.797 6.497 0.804
O 5.797 9.293 0.804
```

The 10 most intense peaks (15° ≤ 2θ ≤ 90°), by angle:
Position (°2θ)  I (rel.)
16.84  100
24.93  9
35.75  29
39.76  63
44.35  22
50.21  71
64.23  28
64.82  17
66.93  11
85.71  10



Entry 2:
Computed X-ray diffraction stick pattern of PtCl2 for Cu Kα, 1.54184 Å, from a DFT-relaxed cell (GGA-PBE, the Materials Project).
Intensities are scaled so that the largest is 100.

Cell and atoms:
```
6
Lattice="4.384 0.000 0.000 0.000 11.387 0.000 0.000 0.000 3.451" Properties=species:S:1:pos:R:3 pbc="T T T"
Pt 0.000 0.000 0.000
Pt 2.192 5.693 1.726
Cl 0.655 1.411 1.726
Cl 1.537 7.104 0.000
Cl 2.847 4.282 0.000
Cl 3.730 9.976 1.726
```

The 10 most intense peaks (15° ≤ 2θ ≤ 90°), by angle:
Position (°2θ)  I (rel.)
15.56  79
21.72  100
27.00  22
31.17  21
33.03  16
35.14  34
36.71  39
46.24  30
47.87  20
49.93  19



Entry 3:
Computed X-ray diffraction stick pattern of DyTe2 for Cu Kα, 1.54184 Å, from a DFT-relaxed cell (GGA-PBE, the Materials Project).
Intensities are scaled so that the largest is 100.

Cell and atoms:
```
6
Lattice="4.440 0.000 0.000 0.000 4.440 0.000 0.000 0.000 8.887" Properties=species:S:1:pos:R:3 pbc="T T T"
Dy 1.110 1.110 2.032
Dy 3.330 3.330 6.854
Te 1.110 1.110 7.739
Te 1.110 3.330 4.443
Te 3.330 1.110 4.443
Te 3.330 3.330 1.148
```

The 10 most intense peaks (15° ≤ 2θ ≤ 90°), by angle:
Position (°2θ)  I (rel.)
28.43  31
30.19  100
34.99  75
36.46  43
40.64  54
51.44  25
55.72  37
58.82  21
67.54  26
70.31  25



Entry 4:
Computed X-ray diffraction stick pattern of MgTe2Mo2W2Se4S2 for Cu Kα, 1.54184 Å, from a DFT-relaxed cell (GGA-PBE, the Materials Project).
Intensities are scaled so that the largest is 100.

Cell and atoms:
```
13
Lattice="3.335 0.000 0.000 -1.667 2.888 0.000 0.000 0.000 45.500" Properties=species:S:1:pos:R:3 pbc="T T T"
Mg 0.000 0.000 0.000
Te 1.667 0.963 30.874
Te 1.667 0.963 34.672
Mo 0.000 1.925 32.774
Mo 1.667 0.963 41.015
W 0.000 1.925 4.725
W 1.667 0.963 12.927
Se 0.000 1.925 39.350
Se 0.000 1.925 42.712
Se 1.667 0.963 3.032
Se 1.667 0.963 6.399
S 0.000 1.925 11.402
S 0.000 1.925 14.452
```

The 10 most intense peaks (15° ≤ 2θ ≤ 90°), by angle:
Position (°2θ)  I (rel.)
30.97  53
31.22  21
32.53  35
34.84  79
36.86  35
40.50  100
41.85  19
43.26  26
55.08  43
56.08  22



Entry 5:
Computed X-ray diffraction stick pattern of Na3CaAlP2SO12 for Cu Kα, 1.54184 Å, from a DFT-relaxed cell (GGA-PBE, the Materials Project).
Intensities are scaled so that the largest is 100.

Cell and atoms:
```
40
Lattice="7.707 -4.590 0.000 7.707 4.590 0.000 -5.402 0.000 7.464" Properties=species:S:1:pos:R:3 pbc="T T T"
Na 5.006 3.990 3.732
Na 3.974 2.219 6.534
Na 8.278 0.683 2.115
Na 5.577 -0.683 5.847
Na 6.675 -2.219 2.802
Na 7.707 -3.990 0.000
Ca 6.310 2.215 0.258
Ca 3.609 -2.215 3.990
Al 7.162 2.066 5.687
Al 9.863 -2.066 1.955
P 4.986 1.087 3.322
P 2.285 -1.087 7.054
P 11.935 0.425 0.955
P 9.234 -0.425 4.687
S -1.931 0.770 6.363
S 0.770 -0.770 2.631
O 1.763 3.258 5.892
O 2.567 1.110 0.035
O 0.853 0.720 2.491
O -0.624 1.377 6.523
O 3.610 1.785 2.927
O 7.987 3.257 1.333
O -1.848 -0.720 6.223
O -0.134 -1.110 3.767
O 6.002 1.276 2.218
O 5.501 1.837 4.642
O 2.077 -1.377 2.791
O 2.194 0.402 7.404
O 4.895 -0.402 3.672
O 0.909 -1.785 6.659
O 6.208 1.243 7.098
O 3.301 -1.276 5.950
O 7.987 0.540 4.914
O 4.464 -3.258 2.160
O 8.202 -1.837 0.910
O 10.688 -0.540 1.182
O 10.489 0.386 4.434
O 8.909 -1.243 3.366
O 13.189 -0.386 0.702
O 5.286 -3.257 5.065
```

The 10 most intense peaks (15° ≤ 2θ ≤ 90°), by angle:
Position (°2θ)  I (rel.)
19.27  42
22.66  84
22.83  100
23.47  83
24.17  54
30.34  42
30.70  82
31.14  85
31.92  61
33.99  86



Entry 6:
Computed X-ray diffraction stick pattern of Bi12Cl5O16 for Cu Kα, 1.54184 Å, from a DFT-relaxed cell (GGA-PBE, the Materials Project).
Intensities are scaled so that the largest is 100.

Cell and atoms:
```
33
Lattice="15.373 -1.980 0.000 15.373 1.980 0.000 -0.135 0.000 10.060" Properties=species:S:1:pos:R:3 pbc="T T T"
Bi 0.997 0.000 2.373
Bi 2.544 0.000 6.033
Bi 4.655 0.000 0.714
Bi 6.203 0.000 4.399
Bi 9.982 0.000 2.394
Bi 13.550 0.000 0.769
Bi 17.061 0.000 9.291
Bi 20.629 0.000 7.666
Bi 24.408 0.000 5.661
Bi 25.956 0.000 9.346
Bi 28.068 0.000 4.027
Bi 29.614 0.000 7.687
Cl 8.504 0.000 8.090
Cl 11.825 0.000 6.576
Cl 15.306 0.000 5.030
Cl 18.787 0.000 3.484
Cl 22.108 0.000 1.970
O 1.164 0.000 7.853
O 2.299 0.000 0.543
O 4.786 0.000 6.163
O 5.432 0.000 8.838
O 8.462 0.000 4.654
O 11.233 0.000 0.280
O 12.180 0.000 2.993
O 14.657 0.000 8.710
O 15.955 0.000 1.350
O 18.431 0.000 7.068
O 19.378 0.000 9.780
O 22.150 0.000 5.406
O 25.179 0.000 1.222
O 25.825 0.000 3.897
O 28.313 0.000 9.517
O 29.448 0.000 2.207
```

The 10 most intense peaks (15° ≤ 2θ ≤ 90°), by angle:
Position (°2θ)  I (rel.)
24.35  27
28.90  54
30.09  100
30.52  49
31.62  80
43.43  21
43.72  20
44.81  20
45.84  21
55.91  23